No. 1
# Dy2CoSi2
Computed powder XRD pattern, Cu Ka. Input: a crystal structure in the Materials Project, relaxed with GGA-PBE.

Cell and atoms:
Cell: 10.453 4.135 9.992 Å, 90.00 119.36 90.00°
Space group C2/m (No. 12)
Symmetry-distinct sites (fractional):
Dy  0.001  0.000  0.172 [4 per cell]
Dy  0.186  0.000  0.605 [4 per cell]
Co  0.227  0.500  0.880 [4 per cell]
Si  0.004  0.500  0.373 [4 per cell]
Si  0.152  0.500  0.066 [4 per cell]

Most intense lines, 2θ from 5° to 70°, in order of rising 2θ:
hkl, 2θ (°), d/Å, I_rel
1 1 0, 23.63, 3.765, 96.1
2 0 -3, 27.15, 3.284, 70.2
3 1 -1, 33.90, 2.644, 88.2
3 1 -2, 34.20, 2.622, 65.1
1 1 2, 34.50, 2.599, 100.0
1 1 -3, 35.00, 2.564, 89.7
3 1 -3, 37.56, 2.395, 64.8
0 2 0, 43.78, 2.068, 65.8



No. 2
# DyCoSn
Computed powder XRD pattern, Cu Ka. Input: a crystal structure in the Materials Project, relaxed with GGA-PBE.

Cell and atoms:
Cell: 7.357 4.582 7.235 Å, 90.00 90.00 90.00°
Space group Pnma (No. 62)
Symmetry-distinct sites (fractional):
Dy  0.026  0.250  0.199 [4 per cell]
Co  0.148  0.750  0.442 [4 per cell]
Sn  0.203  0.250  0.611 [4 per cell]

Most intense lines, 2θ from 5° to 70°, in order of rising 2θ:
hkl, 2θ (°), d/Å, I_rel
1 0 2, 27.48, 3.246, 16.8
2 1 1, 33.61, 2.666, 100.0
1 1 2, 33.84, 2.649, 50.9
2 0 2, 34.78, 2.579, 22.9
3 0 1, 38.77, 2.322, 21.7
0 2 0, 39.33, 2.291, 53.6
0 1 3, 42.36, 2.134, 36.1
3 1 4, 67.52, 1.387, 14.5



No. 3
# Dy3Co6Sn5
Computed powder XRD pattern, Cu Ka. Input: a crystal structure in the Materials Project, relaxed with GGA-PBE.

Cell and atoms:
Cell: 4.317 9.616 12.341 Å, 90.00 90.00 90.00°
Space group Immm (No. 71)
Symmetry-distinct sites (fractional):
Dy  0.000  0.000  0.000 [2 per cell]
Dy  0.000  0.000  0.318 [4 per cell]
Co  0.000  0.195  0.500 [4 per cell]
Co  0.000  0.273  0.107 [8 per cell]
Sn  0.000  0.341  0.323 [8 per cell]
Sn  0.000  0.500  0.000 [2 per cell]

Most intense lines, 2θ from 5° to 70°, in order of rising 2θ:
hkl, 2θ (°), d/Å, I_rel
1 0 3, 30.01, 2.978, 72.6
1 3 0, 34.86, 2.574, 50.0
0 3 3, 35.48, 2.530, 100.0
1 3 2, 37.88, 2.375, 34.3
2 0 0, 41.85, 2.159, 45.9
0 3 5, 46.41, 1.956, 26.2
2 3 3, 56.02, 1.642, 28.5
1 6 3, 66.22, 1.411, 25.6



No. 4
# DyCoSn2
Computed powder XRD pattern, Cu Ka. Input: a crystal structure in the Materials Project, relaxed with GGA-PBE.

Cell and atoms:
Cell: 4.346 18.556 4.427 Å, 90.00 90.00 90.00°
Space group Cmcm (No. 63)
Symmetry-distinct sites (fractional):
Dy  0.000  0.116  0.250 [4 per cell]
Co  0.000  0.322  0.250 [4 per cell]
Sn  0.000  0.251  0.750 [4 per cell]
Sn  0.000  0.452  0.250 [4 per cell]

Most intense lines, 2θ from 5° to 70°, in order of rising 2θ:
hkl, 2θ (°), d/Å, I_rel
1 5 0, 31.70, 2.822, 19.1
1 3 1, 32.29, 2.772, 100.0
0 6 1, 35.41, 2.535, 29.4
0 0 2, 40.77, 2.213, 25.8
2 0 0, 41.56, 2.173, 24.4
1 9 0, 48.89, 1.863, 13.2
2 6 1, 55.71, 1.650, 16.1
2 0 2, 59.62, 1.551, 17.0



No. 5
# ErCo3
Computed powder XRD pattern, Cu Ka. Input: a crystal structure in the Materials Project, relaxed with GGA-PBE.

Cell and atoms:
Cell: 4.9449 4.9449 24.2979 Å, 90.00 90.00 120.00°
Space group R-3m (No. 166, hexagonal axes)
Symmetry-distinct sites (fractional):
Er  0.0000  0.0000  0.0000 [3 per cell]
Er  0.0000  0.0000  0.1395 [6 per cell]
Co  0.0000  0.0000  0.3350 [6 per cell]
Co  0.0000  0.0000  0.5000 [3 per cell]
Co  0.0026  0.5013  0.9185 [18 per cell]

Most intense lines, 2θ from 5° to 70°, in order of rising 2θ:
hkl, 2θ (°), d/Å, I_rel
1 0 7, 33.22, 2.697, 49.5
1 1 0, 36.30, 2.475, 93.9
0 2 1, 42.38, 2.133, 36.2
1 1 6, 42.86, 2.110, 100.0
2 0 5, 46.29, 1.961, 22.4
2 1 7, 63.41, 1.467, 15.2
3 0 0, 65.35, 1.428, 23.6
3 0 6, 69.87, 1.346, 20.5



No. 6
# Er4Co3
Computed powder XRD pattern, Cu Ka. Input: a crystal structure in the Materials Project, relaxed with GGA-PBE.

Cell and atoms:
Cell: 11.2994 11.2994 3.9945 Å, 90.00 90.00 120.00°
Space group P-3 (No. 147)
Symmetry-distinct sites (fractional):
Er  0.0221  0.2468  0.2505 [6 per cell]
Er  0.1355  0.6206  0.2504 [6 per cell]
Co  0.0000  0.0000  0.5000 [1 per cell]
Co  0.1560  0.4391  0.7494 [6 per cell]
Co  0.3333  0.6667  0.7499 [2 per cell]

Most intense lines, 2θ from 5° to 70°, in order of rising 2θ:
hkl, 2θ (°), d/Å, I_rel
1 2 0, 24.06, 3.698, 9.5
1 2 1, 33.01, 2.714, 100.0
3 0 1, 35.53, 2.527, 19.4
4 1 0, 42.33, 2.135, 15.6
0 0 2, 45.41, 1.997, 12.0
6 -4 1, 54.69, 1.678, 8.1
4 -1 2, 57.27, 1.609, 14.5
2 5 1, 63.81, 1.459, 23.5



No. 7
# Er4Co
Computed powder XRD pattern, Cu Ka. Input: a crystal structure in the Materials Project, relaxed with GGA-PBE.

Cell and atoms:
Cell: 10.463 10.463 10.463 Å, 90.00 90.00 90.00°
Space group Fd-3m (No. 227, origin choice 2)
Symmetry-distinct sites (fractional):
Er  0.011  0.011  0.239 [32 per cell]
Co  0.125  0.125  0.625 [8 per cell]

Most intense lines, 2θ from 5° to 70°, in order of rising 2θ:
hkl, 2θ (°), d/Å, I_rel
2 2 2, 29.57, 3.020, 100.0
4 0 0, 34.28, 2.616, 40.7
3 3 1, 37.47, 2.400, 8.6
5 1 1, 45.02, 2.014, 10.1
4 4 0, 49.26, 1.850, 40.7
6 2 2, 58.51, 1.577, 38.3
4 4 4, 61.39, 1.510, 8.8
5 5 1, 63.49, 1.465, 4.7



No. 8
# ErCo5
Computed powder XRD pattern, Cu Ka. Input: a crystal structure in the Materials Project, relaxed with GGA-PBE.

Cell and atoms:
Cell: 4.8943 4.8943 3.9493 Å, 90.00 90.00 120.00°
Space group P6/mmm (No. 191)
Symmetry-distinct sites (fractional):
Er  0.0000  0.0000  0.0000 [1 per cell]
Co  0.0000  0.5000  0.5000 [3 per cell]
Co  0.3333  0.6667  0.0000 [2 per cell]

Most intense lines, 2θ from 5° to 70°, in order of rising 2θ:
hkl, 2θ (°), d/Å, I_rel
1 0 1, 30.95, 2.889, 56.6
1 1 0, 36.72, 2.447, 34.0
2 0 0, 42.66, 2.119, 36.0
1 1 1, 43.51, 2.080, 100.0
0 0 2, 45.96, 1.975, 25.8
1 1 2, 60.22, 1.537, 15.8
2 1 1, 62.57, 1.485, 15.3
2 0 2, 64.50, 1.445, 20.3



No. 9
# ErCo2
Computed powder XRD pattern, Cu Ka. Input: a crystal structure in the Materials Project, relaxed with GGA-PBE.

Cell and atoms:
Cell: 7.123 7.123 7.123 Å, 90.00 90.00 90.00°
Space group Fd-3m (No. 227, origin choice 2)
Symmetry-distinct sites (fractional):
Er  0.125  0.125  0.125 [8 per cell]
Co  0.000  0.000  0.500 [16 per cell]

Most intense lines, 2θ from 5° to 70°, in order of rising 2θ:
hkl, 2θ (°), d/Å, I_rel
1 1 1, 21.61, 4.113, 16.6
2 2 0, 35.65, 2.518, 67.8
3 1 1, 42.07, 2.148, 100.0
2 2 2, 44.04, 2.056, 13.8
4 0 0, 51.30, 1.781, 0.9
3 3 1, 56.30, 1.634, 4.5
4 2 2, 64.04, 1.454, 24.9
5 1 1, 68.44, 1.371, 30.4